This entry pairs a crystal structure of ErTm3Ni4 with its calculated X-ray powder pattern. Radiation: Cu Kα X-rays. Structure: a crystal structure in OQMD, relaxed with PBE.
Neutral-atom scattering factors, no anomalous dispersion.

Cell and atoms:
Cell lengths 5.363, 4.131, 6.976 Å; angles 90.00, 90.01, 90.00 degrees
Space group Pm (No. 6)
One atom of each set of equivalent atoms:
Er (0.000, 0.000, 0.000) x1
Tm (0.240, 0.000, 0.500) x1
Tm (0.500, 0.500, 0.141) x1
Tm (0.740, 0.500, 0.640) x1
Ni (0.245, 0.500, 0.782) x1
Ni (0.494, 0.000, 0.858) x1
Ni (0.745, 0.000, 0.358) x1
Ni (0.994, 0.500, 0.282) x1

Top 10 peaks for 2θ = 10–90°, by angle:
- 2θ 27.2, I 38.6, hkl 1 1 0
- 2θ 30.2, I 89.4, hkl 1 1 -1
- 2θ 33.6, I 100.0, hkl 0 1 2
- 2θ 35.9, I 91.7, hkl 2 0 1
- 2θ 37.7, I 81.3, hkl 1 1 2
- 2θ 42.2, I 76.1, hkl 2 1 1
- 2θ 42.4, I 44.3, hkl 1 0 3
- 2θ 43.8, I 51.1, hkl 0 2 0
- 2θ 57.9, I 49.3, hkl 2 2 1
- 2θ 62.6, I 42.6, hkl 1 2 3

This entry pairs a crystal structure of Co7Ge with its calculated X-ray powder pattern. Radiation: Cu Kα X-rays. Structure: a crystal structure in OQMD, relaxed with PBE.
Neutral-atom scattering factors, no anomalous dispersion.

Cell and atoms:
Cell lengths 2.515, 3.528, 33.222 Å; angles 90.00, 90.00, 90.00 degrees
Space group Pmmn (No. 59, origin choice 2)
One atom of each set of equivalent atoms:
Co (0.250, 0.250, 0.019) x2
Co (0.250, 0.250, 0.093) x2
Co (0.250, 0.250, 0.168) x2
Co (0.250, 0.250, 0.242) x2
Co (0.250, 0.250, 0.796) x2
Co (0.250, 0.250, 0.869) x2
Co (0.250, 0.250, 0.944) x2
Ge (0.250, 0.250, 0.719) x2

Top 10 peaks for 2θ = 10–90°, by angle:
- 2θ 10.7, I 23.1, hkl 0 0 4
- 2θ 39.3, I 6.2, hkl 0 1 11
- 2θ 43.7, I 57.2, hkl 0 1 13
- 2θ 44.3, I 100.0, hkl 1 1 0
- 2θ 46.1, I 37.5, hkl 0 1 14
- 2θ 50.9, I 38.0, hkl 1 0 13
- 2θ 51.9, I 30.3, hkl 0 2 0
- 2θ 53.1, I 24.8, hkl 1 0 14
- 2θ 75.6, I 28.9, hkl 2 0 0
- 2θ 77.4, I 14.3, hkl 1 2 14

This entry pairs a crystal structure of Dy2HoIn3Ni3 with its calculated X-ray powder pattern. Radiation: Cu Kα X-rays. Structure: a crystal structure in OQMD, relaxed with PBE.
Neutral-atom scattering factors, no anomalous dispersion.

Cell and atoms:
Cell lengths 3.803, 12.867, 7.428 Å; angles 90.00, 90.00, 90.00 degrees
Space group Amm2 (No. 38)
One atom of each set of equivalent atoms:
Dy (0.000, 0.205, 0.000) x4
Ho (0.000, 0.000, 0.616) x2
In (0.500, 0.000, 0.950) x2
In (0.500, 0.127, 0.333) x4
Ni (0.000, 0.000, 0.206) x2
Ni (0.500, 0.166, 0.705) x4

Top 10 peaks for 2θ = 10–90°, by angle:
- 2θ 33.7, I 100.0, hkl 1 3 1
- 2θ 36.6, I 72.5, hkl 1 4 0
- 2θ 37.0, I 52.4, hkl 0 1 3
- 2θ 42.1, I 23.0, hkl 0 3 3
- 2θ 47.8, I 19.7, hkl 2 0 0
- 2θ 51.2, I 14.7, hkl 0 2 4
- 2θ 57.0, I 23.4, hkl 1 5 3
- 2θ 62.0, I 22.7, hkl 2 1 3
- 2θ 65.6, I 11.8, hkl 2 6 0
- 2θ 68.2, I 24.1, hkl 1 1 5